Starting from a cell relaxed with PBE, the XRD peak list of TeBr3F was simulated for copper Kα.
Intensities are scaled so that the largest is 100.

The 10 most intense peaks (2θ from 5° to 70°), by intensity:
2θ 18.8, I = 100.0, hkl 0 1 1
2θ 28.3, I = 87.3, hkl 1 0 6
2θ 23.2, I = 75.2, hkl 1 1 -1
2θ 13.8, I = 58.7, hkl 1 0 0
2θ 30.9, I = 50.6, hkl 2 0 -4
2θ 48.9, I = 48.7, hkl 1 0 -12
2θ 7.8, I = 48.7, hkl 0 0 2
2θ 18.4, I = 46.9, hkl 0 1 0
2θ 34.8, I = 36.6, hkl 2 1 -3
2θ 15.6, I = 34.8, hkl 0 0 4

Structural model:
a b c (Å): 6.442 4.820 22.837
angles (deg): 90.00 94.60 90.00
Space group P2/c (No. 13)
Symmetry-distinct sites (fractional):
Te1 0.058 0.169 0.156 (multiplicity 4)
Br1 0.163 0.219 0.440 (multiplicity 4)
Br2 0.275 0.260 0.279 (multiplicity 4)
Br3 0.351 0.095 0.607 (multiplicity 4)
F1 0.026 0.205 0.827 (multiplicity 4)